This entry pairs a crystal structure of Li3InRh with its theoretical powder diffractogram. Radiation: CuKα. Structure: the PBE geometry in Alexandria.
Intensities are scaled so that the largest is 1000.

Top 12 peaks for 2θ from 5° to 70°, low angle first:
| Position (°2θ) | I (rel.) |
| --- | --- |
| 19.01 | 1000 |
| 22.15 | 783 |
| 26.25 | 165 |
| 29.25 | 343 |
| 37.20 | 279 |
| 38.22 | 263 |
| 39.53 | 667 |
| 39.78 | 664 |
| 42.03 | 173 |
| 42.22 | 264 |
| 42.52 | 293 |
| 61.47 | 164 |

Cell and atoms:
```
20
Lattice="5.620 0.000 0.000 0.000 8.562 0.000 -4.755 0.000 6.537" Properties=species:S:1:pos:R:3 pbc="T T T"
Li -1.063 1.079 1.712
Li -3.441 3.202 4.980
Li -1.870 5.548 4.224
Li 0.508 7.295 0.955
Li 1.924 5.307 0.216
Li -0.454 7.536 3.484
Li 1.318 1.026 3.053
Li -1.059 3.255 6.322
Li 0.357 1.267 5.582
Li 2.734 3.014 2.314
Li 4.305 5.360 1.557
Li 1.928 7.483 4.826
In 1.886 1.133 0.364
In -0.491 3.148 3.632
In 1.356 5.414 2.905
In -1.022 7.429 6.173
Rh -1.939 0.917 4.317
Rh 0.439 3.364 1.049
Rh 0.426 5.198 5.489
Rh 2.803 7.645 2.220
```


This entry pairs a crystal structure of Tb7TlSi5 with its theoretical powder diffractogram. Radiation: CuKα. Structure: the PBE geometry in Alexandria.
Intensities are scaled so that the largest is 1000.

Top 12 peaks for 2θ from 5° to 70°, low angle first:
| Position (°2θ) | I (rel.) |
| --- | --- |
| 24.40 | 266 |
| 28.93 | 1000 |
| 30.13 | 740 |
| 31.11 | 822 |
| 34.28 | 795 |
| 35.33 | 412 |
| 36.97 | 267 |
| 39.15 | 362 |
| 40.46 | 247 |
| 48.40 | 246 |
| 59.94 | 289 |
| 60.51 | 223 |

Cell and atoms:
```
13
Lattice="-2.966 5.422 4.930 2.966 -5.422 4.930 2.966 5.422 -4.930" Properties=species:S:1:pos:R:3 pbc="T T T"
Tb 0.000 0.000 0.000
Tb 2.966 1.892 1.551
Tb 0.000 0.000 3.649
Tb 0.000 3.591 0.975
Tb 0.000 7.252 0.975
Tb 0.000 5.422 3.538
Tb 0.000 3.530 6.481
Tl 0.000 0.000 6.729
Si 1.732 2.608 -1.129
Si 4.199 2.608 -1.129
Si 2.966 0.000 3.685
Si -1.234 2.814 3.802
Si 1.234 2.814 3.802
```


This entry pairs a crystal structure of CuAg2HgF8 with its theoretical powder diffractogram. Radiation: CuKα. Structure: the PBE geometry in Alexandria.
Intensities are scaled so that the largest is 1000.

Top 12 peaks for 2θ from 5° to 70°, low angle first:
| Position (°2θ) | I (rel.) |
| --- | --- |
| 16.63 | 61 |
| 17.61 | 108 |
| 21.99 | 55 |
| 27.70 | 1000 |
| 31.30 | 284 |
| 33.63 | 293 |
| 36.13 | 84 |
| 44.85 | 177 |
| 46.60 | 198 |
| 53.53 | 444 |
| 56.59 | 137 |
| 57.21 | 165 |

Cell and atoms:
```
12
Lattice="-2.858 2.858 5.329 2.858 -2.858 5.329 2.858 2.858 -5.329" Properties=species:S:1:pos:R:3 pbc="T T T"
Cu 0.000 0.000 0.000
Ag 2.858 0.000 2.665
Ag 0.000 0.000 5.329
Hg 0.000 2.858 2.665
F 0.972 -0.892 2.851
F 1.632 0.861 -0.112
F 1.997 -1.226 5.442
F 1.886 3.750 -2.478
F 1.966 1.886 2.478
F 0.861 4.085 0.112
F 1.226 1.997 5.217
F 0.892 0.972 7.807
```


This entry pairs a crystal structure of Pm5Nd3Tm2 with its theoretical powder diffractogram. Radiation: CuKα. Structure: the PBE geometry in Alexandria.
Intensities are scaled so that the largest is 1000.

Top 12 peaks for 2θ from 5° to 70°, low angle first:
| Position (°2θ) | I (rel.) |
| --- | --- |
| 29.47 | 1000 |
| 30.73 | 1000 |
| 31.94 | 226 |
| 32.98 | 476 |
| 34.36 | 156 |
| 39.40 | 154 |
| 48.75 | 217 |
| 57.50 | 168 |
| 60.04 | 123 |
| 63.22 | 158 |
| 63.34 | 120 |
| 68.16 | 189 |

Cell and atoms:
```
20
Lattice="5.432 -7.564 0.000 5.432 7.564 0.000 -5.402 0.000 8.342" Properties=species:S:1:pos:R:3 pbc="T T T"
Pm 1.381 7.252 6.256
Pm -1.297 1.857 6.419
Pm 4.082 3.440 2.085
Pm 1.404 -1.857 2.248
Pm 4.082 0.382 2.085
Pm 1.381 -0.382 6.256
Pm 4.059 1.857 6.093
Pm 1.381 -3.440 6.256
Pm 6.760 -1.857 1.922
Pm 4.082 -7.252 2.085
Nd 1.312 1.907 0.449
Nd 1.381 4.104 6.256
Nd -1.389 -1.907 4.620
Nd 6.852 1.907 3.722
Nd 4.082 -4.104 2.085
Nd 4.151 -1.907 7.893
Tm 1.319 1.868 3.733
Tm -1.382 -1.868 7.904
Tm 6.845 1.868 0.438
Tm 4.144 -1.868 4.609
```